(1)
Diffraction record for Dy2YEr4Ni2S2. The X-ray diffraction stick pattern is simulated, not measured: it uses a DFT-relaxed cell (GGA-PBE, OQMD) and Cu Kα (λ = 1.5418 Å).
Peak positions follow from Bragg's law for the DFT cell and can differ from measured ones.

Peak list (10 most intense, 2θ from 10° to 80°, in order of falling intensity)
35.45 deg, I = 100.0
31.52 deg, I = 61.3
35.98 deg, I = 55.5
34.73 deg, I = 54.1
31.73 deg, I = 40.3
30.10 deg, I = 37.1
56.26 deg, I = 29.0
48.57 deg, I = 28.0
25.71 deg, I = 27.0
29.91 deg, I = 25.5

```
data_Dy2YEr4Ni2S2
_chemical_formula_sum 'Dy2 Y1 Er4 Ni2 S2'
_cell_length_a 8.898
_cell_length_b 8.898
_cell_length_c 8.898
_cell_angle_alpha 155.68
_cell_angle_beta 67.08
_cell_angle_gamma 118.57
_space_group_name_H-M_alt 'P 1'
_space_group_IT_number 1
_space_group_name_Hall 'P 1'
loop_
_atom_site_label
_atom_site_type_symbol
_atom_site_fract_x
_atom_site_fract_y
_atom_site_fract_z
_atom_site_occupancy
Dy1 Dy 0.120 0.000 0.120 1
Dy2 Dy 0.880 0.000 0.880 1
Y1 Y 0.597 0.597 0.000 1
Er1 Er 0.210 0.844 0.366 1
Er2 Er 0.477 0.844 0.634 1
Er3 Er 0.519 0.205 0.313 1
Er4 Er 0.892 0.205 0.687 1
Ni1 Ni 0.270 0.509 0.761 1
Ni2 Ni 0.749 0.509 0.239 1
S1 S 0.256 0.256 0.000 1
S2 S 0.841 0.341 0.500 1
```

***

(2)
Diffraction record for Sc3Tl2InPd2. The X-ray diffraction stick pattern is simulated, not measured: it uses a DFT-relaxed cell (GGA-PBE, OQMD) and Cu Kα (λ = 1.5418 Å).
Peak positions follow from Bragg's law for the DFT cell and can differ from measured ones.

Peak list (10 most intense, 2θ from 10° to 80°, in order of falling intensity)
26.46 deg, I = 100.0
45.36 deg, I = 97.3
35.63 deg, I = 75.6
36.20 deg, I = 75.1
36.10 deg, I = 69.7
35.73 deg, I = 67.6
36.37 deg, I = 65.7
38.21 deg, I = 49.6
67.14 deg, I = 47.0
45.54 deg, I = 43.0

```
data_Sc3Tl2InPd2
_chemical_formula_sum 'Sc3 Tl2 In1 Pd2'
_cell_length_a 3.369
_cell_length_b 7.592
_cell_length_c 7.592
_cell_angle_alpha 120.42
_cell_angle_beta 90.00
_cell_angle_gamma 90.00
_space_group_name_H-M_alt 'P 1'
_space_group_IT_number 1
_space_group_name_Hall 'P 1'
loop_
_atom_site_label
_atom_site_type_symbol
_atom_site_fract_x
_atom_site_fract_y
_atom_site_fract_z
_atom_site_occupancy
Sc1 Sc 0.000 0.000 0.000 1
Sc2 Sc 0.000 0.417 0.830 1
Sc3 Sc 0.000 0.830 0.417 1
Tl1 Tl 0.500 0.178 0.418 1
Tl2 Tl 0.500 0.418 0.178 1
In1 In 0.500 0.656 0.656 1
Pd1 Pd 0.500 0.078 0.749 1
Pd2 Pd 0.500 0.749 0.078 1
```

***

(3)
Diffraction record for BaAl5CuPt. The X-ray diffraction stick pattern is simulated, not measured: it uses a DFT-relaxed cell (GGA-PBE, OQMD) and Cu Kα (λ = 1.5418 Å).
Peak positions follow from Bragg's law for the DFT cell and can differ from measured ones.

Peak list (10 most intense, 2θ from 10° to 80°, in order of falling intensity)
30.24 deg, I = 100.0
33.80 deg, I = 43.5
24.40 deg, I = 42.6
46.75 deg, I = 40.8
14.91 deg, I = 35.5
28.89 deg, I = 33.4
43.19 deg, I = 31.9
23.03 deg, I = 26.1
43.40 deg, I = 22.0
62.89 deg, I = 20.8

```
data_BaAl5CuPt
_chemical_formula_sum 'Ba1 Al5 Cu1 Pt1'
_cell_length_a 6.621
_cell_length_b 6.621
_cell_length_c 6.621
_cell_angle_alpha 143.29
_cell_angle_beta 113.14
_cell_angle_gamma 78.77
_space_group_name_H-M_alt 'P 1'
_space_group_IT_number 1
_space_group_name_Hall 'P 1'
loop_
_atom_site_label
_atom_site_type_symbol
_atom_site_fract_x
_atom_site_fract_y
_atom_site_fract_z
_atom_site_occupancy
Ba1 Ba 0.000 0.000 0.000 1
Al1 Al 0.155 0.343 0.811 1
Al2 Al 0.473 0.660 0.813 1
Al3 Al 0.509 0.009 0.500 1
Al4 Al 0.532 0.343 0.189 1
Al5 Al 0.847 0.660 0.187 1
Cu1 Cu 0.739 0.239 0.500 1
Pt1 Pt 0.273 0.773 0.500 1
```

***

(4)
Diffraction record for Hf4FePN2. The X-ray diffraction stick pattern is simulated, not measured: it uses a DFT-relaxed cell (GGA-PBE, OQMD) and Cu Kα (λ = 1.5418 Å).
Peak positions follow from Bragg's law for the DFT cell and can differ from measured ones.

Peak list (10 most intense, 2θ from 10° to 80°, in order of falling intensity)
38.50 deg, I = 100.0
32.60 deg, I = 31.6
31.80 deg, I = 27.7
56.65 deg, I = 26.1
43.07 deg, I = 23.5
28.32 deg, I = 20.4
70.59 deg, I = 16.8
61.09 deg, I = 16.8
73.72 deg, I = 14.8
64.53 deg, I = 13.1

```
data_Hf4FePN2
_chemical_formula_sum 'Hf4 Fe1 P1 N2'
_cell_length_a 3.249
_cell_length_b 3.249
_cell_length_c 12.607
_cell_angle_alpha 90.00
_cell_angle_beta 90.00
_cell_angle_gamma 120.00
_space_group_name_H-M_alt 'P 1'
_space_group_IT_number 1
_space_group_name_Hall 'P 1'
loop_
_atom_site_label
_atom_site_type_symbol
_atom_site_fract_x
_atom_site_fract_y
_atom_site_fract_z
_atom_site_occupancy
Hf1 Hf 0.000 0.000 0.142 1
Hf2 Hf 0.000 0.000 0.858 1
Hf3 Hf 0.667 0.333 0.348 1
Hf4 Hf 0.667 0.333 0.652 1
Fe1 Fe 0.000 0.000 0.500 1
P1 P 0.667 0.333 0.000 1
N1 N 0.333 0.667 0.244 1
N2 N 0.333 0.667 0.756 1
```

***

(5)
Diffraction record for Dy2TlCoNi. The X-ray diffraction stick pattern is simulated, not measured: it uses a DFT-relaxed cell (GGA-PBE, OQMD) and Cu Kα (λ = 1.5418 Å).
Peak positions follow from Bragg's law for the DFT cell and can differ from measured ones.

Peak list (10 most intense, 2θ from 10° to 80°, in order of falling intensity)
33.97 deg, I = 100.0
34.79 deg, I = 72.4
29.90 deg, I = 52.0
39.40 deg, I = 31.2
59.96 deg, I = 30.2
47.20 deg, I = 21.5
56.84 deg, I = 20.0
48.59 deg, I = 19.7
58.10 deg, I = 16.8
37.98 deg, I = 14.7

```
data_Dy2TlCoNi
_chemical_formula_sum 'Dy2 Tl1 Co1 Ni1'
_cell_length_a 3.748
_cell_length_b 7.363
_cell_length_c 7.363
_cell_angle_alpha 30.32
_cell_angle_beta 90.00
_cell_angle_gamma 90.00
_space_group_name_H-M_alt 'P 1'
_space_group_IT_number 1
_space_group_name_Hall 'P 1'
loop_
_atom_site_label
_atom_site_type_symbol
_atom_site_fract_x
_atom_site_fract_y
_atom_site_fract_z
_atom_site_occupancy
Dy1 Dy 0.000 0.000 0.000 1
Dy2 Dy 0.000 0.280 0.280 1
Tl1 Tl 0.500 0.638 0.638 1
Co1 Co 0.500 0.435 0.435 1
Ni1 Ni 0.500 0.842 0.842 1
```

***

(6)
Diffraction record for Tm2PBrCl. The X-ray diffraction stick pattern is simulated, not measured: it uses a DFT-relaxed cell (GGA-PBE, OQMD) and Cu Kα (λ = 1.5418 Å).
Peak positions follow from Bragg's law for the DFT cell and can differ from measured ones.

Peak list (10 most intense, 2θ from 10° to 80°, in order of falling intensity)
31.44 deg, I = 100.0
46.42 deg, I = 28.5
43.66 deg, I = 24.2
26.30 deg, I = 22.8
36.95 deg, I = 22.2
27.67 deg, I = 20.4
57.14 deg, I = 18.1
76.59 deg, I = 15.3
51.23 deg, I = 14.8
16.91 deg, I = 10.0

```
data_Tm2PBrCl
_chemical_formula_sum 'Tm2 P1 Br1 Cl1'
_cell_length_a 3.912
_cell_length_b 3.912
_cell_length_c 10.485
_cell_angle_alpha 90.00
_cell_angle_beta 90.00
_cell_angle_gamma 120.00
_space_group_name_H-M_alt 'P 1'
_space_group_IT_number 1
_space_group_name_Hall 'P 1'
loop_
_atom_site_label
_atom_site_type_symbol
_atom_site_fract_x
_atom_site_fract_y
_atom_site_fract_z
_atom_site_occupancy
Tm1 Tm 0.000 0.000 0.000 1
Tm2 Tm 0.333 0.667 0.715 1
P1 P 0.667 0.333 0.857 1
Br1 Br 0.333 0.667 0.173 1
Cl1 Cl 0.000 0.000 0.561 1
```